No. 1
Simulated X-ray powder pattern
Compound: Ac5Ge4Pb
Radiation: Cu Kα (weighted mean of Kα1 and Kα2)
Structure: the GGA-PBE geometry in Alexandria
No peak broadening, texture or thermal motion is included.

Peak list (10 most intense, 15 to 90 degrees two-theta, in order of falling intensity)
(1 0 5), 2θ = 31.49°, intensity 100; (1 1 0), 2θ = 33.78°, intensity 46; (2 1 5), 2θ = 58.99°, intensity 34; (2 0 0), 2θ = 48.51°, intensity 17; (1 1 10), 2θ = 54.56°, intensity 16; (1 0 0), 2θ = 23.71°, intensity 15; (2 0 10), 2θ = 65.73°, intensity 9; (0 0 10), 2θ = 41.53°, intensity 9; (0 0 5), 2θ = 20.42°, intensity 8; (3 1 0), 2θ = 81.02°, intensity 8

Atomic structure:
abc: 3.7531 3.7531 21.7429
angles: 90.00 90.00 90.00
Space group P4/mmm (No. 123)
One atom of each set of equivalent atoms:
Ac1 0.0000 0.0000 0.0000 (multiplicity 1)
Ac2 0.0000 0.0000 0.1925 (multiplicity 2)
Ac3 0.0000 0.0000 0.3832 (multiplicity 2)
Ge1 0.5000 0.5000 0.0970 (multiplicity 2)
Ge2 0.5000 0.5000 0.2912 (multiplicity 2)
Pb1 0.5000 0.5000 0.5000 (multiplicity 1)

No. 2
Simulated X-ray powder pattern
Compound: Ac3GePb2
Radiation: Cu Kα (weighted mean of Kα1 and Kα2)
Structure: the GGA-PBE geometry in Alexandria
No peak broadening, texture or thermal motion is included.

Peak list (10 most intense, 15 to 90 degrees two-theta, in order of falling intensity)
(0 1 3), 2θ = 27.58°, intensity 100; (1 0 4), 2θ = 27.89°, intensity 70; (0 2 0), 2θ = 37.61°, intensity 68; (4 1 1), 2θ = 32.94°, intensity 68; (2 1 2), 2θ = 26.48°, intensity 65; (3 1 2), 2θ = 30.32°, intensity 56; (3 0 2), 2θ = 23.75°, intensity 53; (4 0 2), 2θ = 29.47°, intensity 48; (2 1 4), 2θ = 35.62°, intensity 41; (1 1 3), 2θ = 28.36°, intensity 29

Atomic structure:
abc: 13.6557 4.7829 13.1678
angles: 90.00 90.00 90.00
Space group Pnma (No. 62)
One atom of each set of equivalent atoms:
Ac1 0.0546 0.2500 0.1205 (multiplicity 4)
Ac2 0.1153 0.7500 0.5477 (multiplicity 4)
Ac3 0.2343 0.2500 0.7916 (multiplicity 4)
Ge1 0.1239 0.2500 0.3706 (multiplicity 4)
Pb1 0.0024 0.2500 0.7014 (multiplicity 4)
Pb2 0.1911 0.7500 0.0031 (multiplicity 4)

No. 3
Simulated X-ray powder pattern
Compound: Ac3Ge2Pd4Pb2
Radiation: Cu Kα (weighted mean of Kα1 and Kα2)
Structure: the GGA-PBE geometry in Alexandria
No peak broadening, texture or thermal motion is included.

Peak list (10 most intense, 15 to 90 degrees two-theta, in order of falling intensity)
(1 1 0), 2θ = 38.09°, intensity 100; (0 1 4), 2θ = 33.03°, intensity 82; (1 0 3), 2θ = 28.60°, intensity 47; (3 0 0), 2θ = 68.81°, intensity 25; (2 0 4), 2θ = 51.29°, intensity 24; (1 2 4), 2θ = 65.65°, intensity 23; (1 0 1), 2θ = 22.58°, intensity 23; (1 1 7), 2θ = 59.37°, intensity 18; (0 1 2), 2θ = 25.00°, intensity 17; (1 0 6), 2θ = 43.52°, intensity 13

Atomic structure:
abc: 4.7246 4.7246 14.4864
angles: 90.00 90.00 120.00
Space group P-3m1 (No. 164)
One atom of each set of equivalent atoms:
Ac1 0.0000 0.0000 0.0000 (multiplicity 1)
Ac2 0.0000 0.0000 0.2682 (multiplicity 2)
Ge1 0.3333 0.6667 0.1515 (multiplicity 2)
Pd1 0.3333 0.6667 0.3629 (multiplicity 2)
Pd2 0.3333 0.6667 0.8681 (multiplicity 2)
Pb1 0.3333 0.6667 0.5607 (multiplicity 2)

Copy entry 3 word for word.
Simulated X-ray powder pattern
Compound: Ac3Ge2Pd4Pb2
Radiation: Cu Kα (weighted mean of Kα1 and Kα2)
Structure: the GGA-PBE geometry in Alexandria
No peak broadening, texture or thermal motion is included.

Peak list (10 most intense, 15 to 90 degrees two-theta, in order of falling intensity)
(1 1 0), 2θ = 38.09°, intensity 100; (0 1 4), 2θ = 33.03°, intensity 82; (1 0 3), 2θ = 28.60°, intensity 47; (3 0 0), 2θ = 68.81°, intensity 25; (2 0 4), 2θ = 51.29°, intensity 24; (1 2 4), 2θ = 65.65°, intensity 23; (1 0 1), 2θ = 22.58°, intensity 23; (1 1 7), 2θ = 59.37°, intensity 18; (0 1 2), 2θ = 25.00°, intensity 17; (1 0 6), 2θ = 43.52°, intensity 13

Atomic structure:
abc: 4.7246 4.7246 14.4864
angles: 90.00 90.00 120.00
Space group P-3m1 (No. 164)
One atom of each set of equivalent atoms:
Ac1 0.0000 0.0000 0.0000 (multiplicity 1)
Ac2 0.0000 0.0000 0.2682 (multiplicity 2)
Ge1 0.3333 0.6667 0.1515 (multiplicity 2)
Pd1 0.3333 0.6667 0.3629 (multiplicity 2)
Pd2 0.3333 0.6667 0.8681 (multiplicity 2)
Pb1 0.3333 0.6667 0.5607 (multiplicity 2)

Question: Which formula does entry 2 have?
Answer: Ac3GePb2

Repeat the third record exactly.
Simulated X-ray powder pattern
Compound: Ac3Ge2Pd4Pb2
Radiation: Cu Kα (weighted mean of Kα1 and Kα2)
Structure: the GGA-PBE geometry in Alexandria
No peak broadening, texture or thermal motion is included.

Peak list (10 most intense, 15 to 90 degrees two-theta, in order of falling intensity)
(1 1 0), 2θ = 38.09°, intensity 100; (0 1 4), 2θ = 33.03°, intensity 82; (1 0 3), 2θ = 28.60°, intensity 47; (3 0 0), 2θ = 68.81°, intensity 25; (2 0 4), 2θ = 51.29°, intensity 24; (1 2 4), 2θ = 65.65°, intensity 23; (1 0 1), 2θ = 22.58°, intensity 23; (1 1 7), 2θ = 59.37°, intensity 18; (0 1 2), 2θ = 25.00°, intensity 17; (1 0 6), 2θ = 43.52°, intensity 13

Atomic structure:
abc: 4.7246 4.7246 14.4864
angles: 90.00 90.00 120.00
Space group P-3m1 (No. 164)
One atom of each set of equivalent atoms:
Ac1 0.0000 0.0000 0.0000 (multiplicity 1)
Ac2 0.0000 0.0000 0.2682 (multiplicity 2)
Ge1 0.3333 0.6667 0.1515 (multiplicity 2)
Pd1 0.3333 0.6667 0.3629 (multiplicity 2)
Pd2 0.3333 0.6667 0.8681 (multiplicity 2)
Pb1 0.3333 0.6667 0.5607 (multiplicity 2)